Record 1
Calculated powder diffractogram
Compound: MgZn2Fe4O8
Radiation: CuKα
Structure: a crystal structure in the Materials Project, relaxed with GGA+U
Lines closer than 0.1° are merged.

Principal peaks in the range 2θ = 10–90°, by angle:
| Position (°2θ) | d [Å] | I (rel.) | h k l |
| --- | --- | --- | --- |
| 11.51 | 7.688 | 423 | 2 0 -1 |
| 14.67 | 6.039 | 989 | 2 0 0 |
| 34.36 | 2.610 | 1000 | 3 1 -1 |
| 34.88 | 2.572 | 421 | 6 0 -2 |
| 47.30 | 1.922 | 383 | 3 1 -4 |
| 51.39 | 1.778 | 385 | 3 1 2 |

Cell lengths 15.616, 3.029, 10.123 Å; angles 90.00, 129.34, 90.00 degrees
Space group C2 (No. 5)
Symmetry-distinct sites (fractional):
Mg 0.000 0.000 0.000 [2 per cell]
Zn 0.213 0.822 0.684 [4 per cell]
Fe 0.130 0.849 0.342 [4 per cell]
Fe 0.149 0.496 0.961 [4 per cell]
O 0.045 0.987 0.847 [4 per cell]
O 0.117 0.483 0.153 [4 per cell]
O 0.175 0.313 0.523 [4 per cell]
O 0.231 0.508 0.871 [4 per cell]

Record 2
Calculated powder diffractogram
Compound: ErMoO5
Radiation: CuKα
Structure: a crystal structure in the Materials Project, relaxed with GGA+U
Lines closer than 0.1° are merged.

Principal peaks in the range 2θ = 10–90°, by angle:
| Position (°2θ) | d [Å] | I (rel.) | h k l |
| --- | --- | --- | --- |
| 14.24 | 6.221 | 1000 | 0 2 0 |
| 19.87 | 4.469 | 533 | 1 1 0 |
| 22.91 | 3.881 | 669 | 1 2 -1 |
| 28.03 | 3.183 | 542 | 1 3 -1 |
| 28.99 | 3.080 | 548 | 1 1 1 |
| 34.57 | 2.595 | 542 | 2 1 -1 |

Cell lengths 5.311, 12.441, 6.861 Å; angles 90.00, 115.63, 90.00 degrees
Space group P2_1/c (No. 14)
Symmetry-distinct sites (fractional):
Er 0.144 0.053 0.289 [4 per cell]
Mo 0.412 0.140 0.857 [4 per cell]
O 0.008 0.581 0.954 [4 per cell]
O 0.203 0.063 0.966 [4 per cell]
O 0.262 0.653 0.416 [4 per cell]
O 0.295 0.226 0.289 [4 per cell]
O 0.488 0.573 0.843 [4 per cell]

Record 3
Calculated powder diffractogram
Compound: Ni2S3O12
Radiation: CuKα
Structure: a crystal structure in the Materials Project, relaxed with GGA+U
Lines closer than 0.1° are merged.

Principal peaks in the range 2θ = 10–90°, by angle:
| Position (°2θ) | d [Å] | I (rel.) | h k l |
| --- | --- | --- | --- |
| 14.85 | 5.966 | 1000 | 1 1 -1 |
| 23.80 | 3.739 | 775 | 0 2 1 |
| 25.12 | 3.545 | 609 | 3 1 0 |
| 26.60 | 3.352 | 612 | 3 1 -2 |
| 30.92 | 2.892 | 892 | 0 2 2 |
| 31.37 | 2.851 | 411 | 3 1 1 |

Cell lengths 12.905, 8.492, 8.705 Å; angles 90.00, 114.92, 90.00 degrees
Space group C2/c (No. 15)
Symmetry-distinct sites (fractional):
Ni 0.126 0.250 0.018 [8 per cell]
S 0.000 0.051 0.250 [4 per cell]
S 0.146 0.396 0.680 [8 per cell]
O 0.022 0.371 0.620 [8 per cell]
O 0.060 0.153 0.177 [8 per cell]
O 0.086 0.046 0.884 [8 per cell]
O 0.174 0.434 0.188 [8 per cell]
O 0.188 0.316 0.568 [8 per cell]
O 0.204 0.333 0.859 [8 per cell]